# AcMnPt
Theoretical PXRD pattern, Cu Kα X-rays. Input: a crystal structure in Alexandria, relaxed with GGA-PBE.

Main lines, sorted by position (2θ from 10° to 80°):
| Position (°2θ) | I_rel | index |
| --- | --- | --- |
| 22.2 | 100 | 1 1 0 |
| 25.6 | 88 | 0 0 2 |
| 32.7 | 77 | 1 1 -2 |
| 33.2 | 55 | 3 1 0 |
| 33.5 | 89 | 3 1 -1 |
| 41.6 | 51 | 0 2 0 |
| 45.9 | 56 | 3 1 2 |
| 65.4 | 34 | 7 1 -1 |

```
data_AcMnPt
_chemical_formula_sum 'Ac4 Mn4 Pt4'
_space_group_name_H-M_alt 'C 1 2/m 1'
_space_group_IT_number 12
_cell_length_a 10.580
_cell_length_b 4.344
_cell_length_c 7.119
_cell_angle_alpha 90.00
_cell_angle_beta 102.31
_cell_angle_gamma 90.00
loop_
_space_group_symop_operation_xyz
'x,y,z'
'-x,-y,-z'
'-x,y,-z'
'x,-y,z'
'x+1/2,y+1/2,z'
'-x+1/2,-y+1/2,-z'
'-x+1/2,y+1/2,-z'
'x+1/2,-y+1/2,z'
loop_
_atom_site_label
_atom_site_type_symbol
_atom_site_fract_x
_atom_site_fract_y
_atom_site_fract_z
Ac1 Ac 0.113 0.000 0.303
Mn1 Mn 0.136 0.500 0.933
Pt1 Pt 0.183 0.000 0.751
```

***

# AsIrO5
Theoretical PXRD pattern, Cu Kα X-rays. Input: a crystal structure in Alexandria, relaxed with GGA-PBE.

Main lines, sorted by position (2θ from 10° to 80°):
| Position (°2θ) | I_rel | index |
| --- | --- | --- |
| 18.7 | 45 | 0 1 1 |
| 23.8 | 96 | 0 0 2 |
| 29.1 | 61 | 0 2 0 |
| 29.7 | 100 | 1 1 0 |
| 38.0 | 36 | 0 2 2 |
| 38.5 | 58 | 1 1 2 |
| 52.0 | 27 | 1 3 0 |
| 58.2 | 30 | 1 1 4 |

```
data_AsIrO5
_chemical_formula_sum 'As2 Ir2 O10'
_space_group_name_H-M_alt 'I m m m'
_space_group_IT_number 71
_space_group_name_Hall '-I 2 2'
_cell_length_a 3.445
_cell_length_b 6.132
_cell_length_c 7.465
_cell_angle_alpha 90.00
_cell_angle_beta 90.00
_cell_angle_gamma 90.00
loop_
_atom_site_label
_atom_site_type_symbol
_atom_site_fract_x
_atom_site_fract_y
_atom_site_fract_z
As1 As 0.000 0.000 0.000
Ir1 Ir 0.000 0.000 0.500
O1 O 0.000 0.000 0.249
O2 O 0.000 0.308 0.000
O3 O 0.000 0.500 0.500
```

***

# TbPr2Sm4Dy2
Theoretical PXRD pattern, Cu Kα X-rays. Input: a crystal structure in Alexandria, relaxed with GGA-PBE.

Main lines, sorted by position (2θ from 10° to 80°):
| Position (°2θ) | I_rel | index |
| --- | --- | --- |
| 30.2 | 100 | 2 1 1 |
| 35.0 | 51 | 1 1 3 |
| 50.3 | 6 | 0 1 -4 |
| 50.4 | 30 | 3 0 3 |
| 59.8 | 11 | 0 1 5 |
| 59.9 | 29 | 3 3 0 |
| 62.9 | 6 | 0 4 2 |
| 74.0 | 4 | 2 2 6 |

```
data_TbPr2Sm4Dy2
_chemical_formula_sum 'Tb1 Pr2 Sm4 Dy2'
_space_group_name_H-M_alt 'P -1'
_space_group_IT_number 2
_cell_length_a 6.262
_cell_length_b 6.272
_cell_length_c 8.104
_cell_angle_alpha 82.66
_cell_angle_beta 75.10
_cell_angle_gamma 80.40
loop_
_space_group_symop_operation_xyz
'x,y,z'
'-x,-y,-z'
loop_
_atom_site_label
_atom_site_type_symbol
_atom_site_fract_x
_atom_site_fract_y
_atom_site_fract_z
Tb1 Tb 0.000 0.000 0.000
Pr1 Pr 0.332 0.668 0.667
Sm1 Sm 0.222 0.446 0.112
Sm2 Sm 0.444 0.890 0.222
Dy1 Dy 0.109 0.223 0.556
```

***

# LaMgAu
Theoretical PXRD pattern, Cu Kα X-rays. Input: a crystal structure in Alexandria, relaxed with GGA-PBE.

Main lines, sorted by position (2θ from 10° to 80°):
| Position (°2θ) | I_rel | index |
| --- | --- | --- |
| 22.3 | 59 | 1 1 0 |
| 24.9 | 32 | 1 0 1 |
| 31.0 | 56 | 1 1 1 |
| 33.7 | 100 | 2 0 1 |
| 39.2 | 40 | 3 0 0 |
| 40.8 | 40 | 2 1 1 |
| 59.8 | 23 | 3 0 2 |
| 62.8 | 27 | 3 2 1 |

```
data_LaMgAu
_chemical_formula_sum 'La3 Mg3 Au3'
_space_group_name_H-M_alt 'P -6 2 m'
_space_group_IT_number 189
_space_group_name_Hall 'P -6 -2'
_cell_length_a 7.9643
_cell_length_b 7.9643
_cell_length_c 4.1813
_cell_angle_alpha 90.00
_cell_angle_beta 90.00
_cell_angle_gamma 120.00
loop_
_atom_site_label
_atom_site_type_symbol
_atom_site_fract_x
_atom_site_fract_y
_atom_site_fract_z
La1 La 0.0000 0.4148 0.0000
Mg1 Mg 0.0000 0.7604 0.5000
Au1 Au 0.0000 0.0000 0.0000
Au2 Au 0.3333 0.6667 0.5000
```